(1)
Simulated X-ray powder pattern of FePbAu2 for Cu Kα (λ = 1.5418 Å), from a GGA-PBE-relaxed structure.

Peak list (10 most intense, 2θ = 10–90°, by angle)
two_theta, I (rel.), hkl
31.0, 14, 1 1 0
31.1, 40, 4 0 -1
33.6, 24, 4 0 0
37.0, 33, 2 0 -2
39.1, 100, 1 1 1
49.0, 8, 3 1 -2
52.6, 15, 5 1 0
63.9, 9, 6 0 1
68.1, 20, 1 1 -3
74.3, 9, 2 2 -2

Structure:
```
data_FePbAu2
_chemical_formula_sum 'Fe2 Pb2 Au4'
_space_group_name_H-M_alt 'C 1 2/m 1'
_space_group_IT_number 12
_cell_length_a 11.7288
_cell_length_b 3.0010
_cell_length_c 4.8618
_cell_angle_alpha 90.00
_cell_angle_beta 114.37
_cell_angle_gamma 90.00
loop_
_space_group_symop_operation_xyz
'x,y,z'
'-x,-y,-z'
'-x,y,-z'
'x,-y,z'
'x+1/2,y+1/2,z'
'-x+1/2,-y+1/2,-z'
'-x+1/2,y+1/2,-z'
'x+1/2,-y+1/2,z'
loop_
_atom_site_label
_atom_site_type_symbol
_atom_site_fract_x
_atom_site_fract_y
_atom_site_fract_z
_atom_site_occupancy
Fe1 Fe 0.0000 0.0000 0.0000 1
Pb1 Pb 0.0000 0.5000 0.5000 1
Au1 Au 0.2119 0.5000 0.2123 1
```

***

(2)
Simulated X-ray powder pattern of FePd8Au3 for Cu Kα (λ = 1.5418 Å), from a GGA-PBE-relaxed structure.

Peak list (10 most intense, 2θ = 10–90°, by angle)
two_theta, I (rel.), hkl
39.1, 100, 2 0 0
39.2, 99, 1 -2 0
45.4, 64, 1 2 0
45.8, 32, -2 1 3
66.0, 10, 2 1 3
66.4, 41, 3 1 -3
66.5, 11, 3 -2 0
79.5, 18, 3 2 0
79.7, 18, 0 4 0
80.1, 18, -4 1 3

Structure:
```
data_FePd8Au3
_chemical_formula_sum 'Fe1 Pd8 Au3'
_space_group_name_H-M_alt 'P -1'
_space_group_IT_number 2
_cell_length_a 4.8701
_cell_length_b 4.8794
_cell_length_c 8.4477
_cell_angle_alpha 90.07
_cell_angle_beta 106.40
_cell_angle_gamma 99.22
loop_
_space_group_symop_operation_xyz
'x,y,z'
'-x,-y,-z'
loop_
_atom_site_label
_atom_site_type_symbol
_atom_site_fract_x
_atom_site_fract_y
_atom_site_fract_z
_atom_site_occupancy
Fe1 Fe 0.0000 0.0000 0.0000 1
Pd1 Pd 0.0039 0.0016 0.6748 1
Pd2 Pd 0.0037 0.4965 0.8398 1
Pd3 Pd 0.4972 0.7557 0.0809 1
Pd4 Pd 0.5005 0.2465 0.5844 1
Au1 Au 0.0000 0.5000 0.5000 1
Au2 Au 0.4906 0.2501 0.2455 1
```

***

(3)
Simulated X-ray powder pattern of FePd2Au3 for Cu Kα (λ = 1.5418 Å), from a GGA-PBE-relaxed structure.

Peak list (10 most intense, 2θ = 10–90°, by angle)
two_theta, I (rel.), hkl
38.6, 100, 2 1 1
38.9, 48, 1 1 -2
39.0, 47, 1 -2 1
45.0, 63, 1 3 0
45.2, 32, -2 1 1
65.6, 20, 3 2 -1
65.8, 20, -1 4 1
78.5, 12, 3 4 1
78.9, 12, 4 0 0
79.3, 18, 0 5 -1

Structure:
```
data_FePd2Au3
_chemical_formula_sum 'Fe2 Pd4 Au6'
_space_group_name_H-M_alt 'P -1'
_space_group_IT_number 2
_cell_length_a 4.9348
_cell_length_b 6.3572
_cell_length_c 6.3719
_cell_angle_alpha 83.57
_cell_angle_beta 82.30
_cell_angle_gamma 82.10
loop_
_space_group_symop_operation_xyz
'x,y,z'
'-x,-y,-z'
loop_
_atom_site_label
_atom_site_type_symbol
_atom_site_fract_x
_atom_site_fract_y
_atom_site_fract_z
_atom_site_occupancy
Fe1 Fe 0.1160 0.3019 0.4650 1
Pd1 Pd 0.1240 0.6204 0.1408 1
Pd2 Pd 0.3762 0.8754 0.3810 1
Au1 Au 0.1176 0.9637 0.7823 1
Au2 Au 0.3677 0.5416 0.7040 1
Au3 Au 0.3739 0.2113 0.0475 1
```

***

(4)
Simulated X-ray powder pattern of FePd12Au6 for Cu Kα (λ = 1.5418 Å), from a GGA-PBE-relaxed structure.

Peak list (10 most intense, 2θ = 10–90°, by angle)
two_theta, I (rel.), hkl
29.7, 30, 1 1 3
39.3, 100, 1 3 1
39.7, 31, 0 3 3
40.7, 27, 0 1 5
41.7, 56, 4 -1 2
42.3, 44, 2 1 4
44.9, 13, 2 0 5
69.5, 11, 5 2 0
72.1, 11, 3 -2 8
74.4, 19, 0 0 9

Structure:
```
data_FePd12Au6
_chemical_formula_sum 'Fe3 Pd36 Au18'
_space_group_name_H-M_alt 'R -3'
_space_group_IT_number 148
_space_group_name_Hall '-R 3'
_cell_length_a 9.7492
_cell_length_b 9.7492
_cell_length_c 11.4863
_cell_angle_alpha 90.00
_cell_angle_beta 90.00
_cell_angle_gamma 120.00
loop_
_atom_site_label
_atom_site_type_symbol
_atom_site_fract_x
_atom_site_fract_y
_atom_site_fract_z
_atom_site_occupancy
Fe1 Fe 0.0000 0.0000 0.0000 1
Pd1 Pd 0.0409 0.1815 0.8146 1
Pd2 Pd 0.0626 0.8595 0.4069 1
Au1 Au 0.0279 0.4364 0.7101 1
```

***

(5)
Simulated X-ray powder pattern of Fe4Pd5Au for Cu Kα (λ = 1.5418 Å), from a GGA-PBE-relaxed structure.

Peak list (10 most intense, 2θ = 10–90°, by angle)
two_theta, I (rel.), hkl
35.5, 5, 1 0 3
37.7, 7, 1 0 4
40.4, 100, 1 0 5
46.7, 35, 1 1 0
47.5, 13, 0 0 10
68.2, 11, 2 0 0
68.8, 16, 1 1 10
82.3, 24, 2 1 5
83.6, 7, 1 0 15
87.3, 9, 2 0 10

Structure:
```
data_Fe4Pd5Au
_chemical_formula_sum 'Fe4 Pd5 Au1'
_space_group_name_H-M_alt 'P 4/m m m'
_space_group_IT_number 123
_space_group_name_Hall '-P 4 2'
_cell_length_a 2.7504
_cell_length_b 2.7504
_cell_length_c 19.1268
_cell_angle_alpha 90.00
_cell_angle_beta 90.00
_cell_angle_gamma 90.00
loop_
_atom_site_label
_atom_site_type_symbol
_atom_site_fract_x
_atom_site_fract_y
_atom_site_fract_z
_atom_site_occupancy
Fe1 Fe 0.0000 0.0000 0.0973 1
Fe2 Fe 0.0000 0.0000 0.2917 1
Pd1 Pd 0.5000 0.5000 0.0000 1
Pd2 Pd 0.5000 0.5000 0.1943 1
Pd3 Pd 0.5000 0.5000 0.3857 1
Au1 Au 0.0000 0.0000 0.5000 1
```

***

(6)
Simulated X-ray powder pattern of Fe6Pd12Au for Cu Kα (λ = 1.5418 Å), from a GGA-PBE-relaxed structure.

Peak list (10 most intense, 2θ = 10–90°, by angle)
two_theta, I (rel.), hkl
14.8, 6, 1 1 0
15.7, 3, 1 0 1
26.3, 4, 2 1 1
33.9, 6, 1 3 1
40.2, 100, 0 0 3
41.3, 3, 4 -1 2
46.7, 48, 5 -3 2
68.2, 30, 3 2 4
82.2, 34, 5 -3 5
86.8, 10, 0 0 6

Structure:
```
data_Fe6Pd12Au
_chemical_formula_sum 'Fe18 Pd36 Au3'
_space_group_name_H-M_alt 'R -3'
_space_group_IT_number 148
_space_group_name_Hall '-R 3'
_cell_length_a 11.9870
_cell_length_b 11.9870
_cell_length_c 6.7298
_cell_angle_alpha 90.00
_cell_angle_beta 90.00
_cell_angle_gamma 120.00
loop_
_atom_site_label
_atom_site_type_symbol
_atom_site_fract_x
_atom_site_fract_y
_atom_site_fract_z
_atom_site_occupancy
Fe1 Fe 0.0293 0.2771 0.3351 1
Pd1 Pd 0.0075 0.1415 0.6600 1
Pd2 Pd 0.0635 0.5584 0.6727 1
Au1 Au 0.0000 0.0000 0.0000 1
```

***

(7)
Simulated X-ray powder pattern of FePdAu for Cu Kα (λ = 1.5418 Å), from a GGA-PBE-relaxed structure.

Peak list (10 most intense, 2θ = 10–90°, by angle)
two_theta, I (rel.), hkl
15.0, 18, 0 0 1
30.2, 8, 0 0 2
33.0, 18, 1 1 0
39.6, 100, 1 1 1
45.5, 17, 0 2 0
46.0, 16, 0 0 3
46.6, 16, 2 0 -1
66.7, 10, 0 2 3
67.2, 10, 2 2 -1
80.0, 13, 1 3 1

Structure:
```
data_FePdAu
_chemical_formula_sum 'Fe2 Pd2 Au2'
_space_group_name_H-M_alt 'P 1 21/m 1'
_space_group_IT_number 11
_cell_length_a 3.8957
_cell_length_b 3.9889
_cell_length_c 6.2294
_cell_angle_alpha 90.00
_cell_angle_beta 108.04
_cell_angle_gamma 90.00
loop_
_space_group_symop_operation_xyz
'x,y,z'
'-x,-y,-z'
'-x,y+1/2,-z'
'x,-y+1/2,z'
loop_
_atom_site_label
_atom_site_type_symbol
_atom_site_fract_x
_atom_site_fract_y
_atom_site_fract_z
_atom_site_occupancy
Fe1 Fe 0.0746 0.2500 0.1494 1
Pd1 Pd 0.4248 0.2500 0.8483 1
Au1 Au 0.2516 0.7500 0.5033 1
```

***

(8)
Simulated X-ray powder pattern of FePd3Au2 for Cu Kα (λ = 1.5418 Å), from a GGA-PBE-relaxed structure.

Peak list (10 most intense, 2θ = 10–90°, by angle)
two_theta, I (rel.), hkl
22.8, 39, 0 2 0
40.0, 100, 2 0 2
40.1, 92, 1 3 1
40.2, 53, 2 2 -2
40.5, 52, 1 1 -3
57.6, 17, 4 2 0
58.1, 18, 2 4 -2
58.4, 18, 0 2 4
72.7, 16, 3 3 3
73.3, 18, 1 1 5

Structure:
```
data_FePd3Au2
_chemical_formula_sum 'Fe4 Pd12 Au8'
_space_group_name_H-M_alt 'C 1 2/c 1'
_space_group_IT_number 15
_cell_length_a 7.1520
_cell_length_b 7.7845
_cell_length_c 7.0462
_cell_angle_alpha 90.00
_cell_angle_beta 101.15
_cell_angle_gamma 90.00
loop_
_space_group_symop_operation_xyz
'x,y,z'
'-x,-y,-z'
'-x,y,-z+1/2'
'x,-y,z+1/2'
'x+1/2,y+1/2,z'
'-x+1/2,-y+1/2,-z'
'-x+1/2,y+1/2,-z+1/2'
'x+1/2,-y+1/2,z+1/2'
loop_
_atom_site_label
_atom_site_type_symbol
_atom_site_fract_x
_atom_site_fract_y
_atom_site_fract_z
_atom_site_occupancy
Fe1 Fe 0.0000 0.0823 0.2500 1
Pd1 Pd 0.0000 0.4034 0.2500 1
Pd2 Pd 0.2310 0.0781 0.0010 1
Au1 Au 0.1259 0.2554 0.6271 1
```